For Ce8GaPd24, a PBE-relaxed structure gives the theoretical powder XRD pattern in this record (Cu Ka).
No peak broadening, texture or thermal motion is included.

Top 10 peaks for 2θ = 10–80°, by angle:
(hkl)  d (Å)  intensity
2 2 0  2.989  3.1
2 2 2  2.440  100.0
3 2 0  2.344  2.5
4 0 0  2.113  52.5
3 2 2  2.050  2.6
4 4 0  1.494  31.8
6 2 2  1.274  32.6
6 3 0  1.260  1.5
4 4 4  1.220  9.9
6 3 2  1.208  2.0

Crystal structure
a b c (Å): 8.453 8.453 8.453
angles (deg): 90.00 90.00 90.00
Fractional coordinates of all 33 atoms:
Ce1 0.249 0.249 0.249
Ce2 0.249 0.249 0.751
Ce3 0.249 0.751 0.249
Ce4 0.249 0.751 0.751
Ce5 0.751 0.249 0.249
Ce6 0.751 0.249 0.751
Ce7 0.751 0.751 0.249
Ce8 0.751 0.751 0.751
Ga1 0.500 0.500 0.500
Pd1 0.000 0.000 0.246
Pd2 0.000 0.000 0.754
Pd3 0.000 0.240 0.500
Pd4 0.000 0.246 0.000
Pd5 0.000 0.500 0.240
Pd6 0.000 0.500 0.760
Pd7 0.000 0.754 0.000
Pd8 0.000 0.760 0.500
Pd9 0.207 0.500 0.500
Pd10 0.240 0.000 0.500
Pd11 0.240 0.500 0.000
Pd12 0.246 0.000 0.000
Pd13 0.500 0.000 0.240
Pd14 0.500 0.000 0.760
Pd15 0.500 0.207 0.500
Pd16 0.500 0.240 0.000
Pd17 0.500 0.500 0.207
Pd18 0.500 0.500 0.793
Pd19 0.500 0.760 0.000
Pd20 0.500 0.793 0.500
Pd21 0.754 0.000 0.000
Pd22 0.760 0.000 0.500
Pd23 0.760 0.500 0.000
Pd24 0.793 0.500 0.500

For Ge, a PBE-relaxed structure gives the theoretical powder XRD pattern in this record (Cu Ka).
No peak broadening, texture or thermal motion is included.

Top 10 peaks for 2θ = 10–80°, by angle:
(hkl)  d (Å)  intensity
1 0 0  3.534  26.4
1 0 1  3.415  100.0
0 0 4  3.312  59.7
1 0 2  3.118  50.9
1 0 5  2.120  37.3
1 1 0  2.040  91.3
1 0 6  1.873  67.2
1 1 4  1.737  54.6
2 0 6  1.380  24.1
1 0 10  1.240  16.6

Crystal structure
a b c (Å): 4.081 4.081 13.248
angles (deg): 90.00 90.00 120.00
Fractional coordinates of all 8 atoms:
Ge1 0.000 0.000 0.093
Ge2 0.000 0.000 0.407
Ge3 0.000 0.000 0.593
Ge4 0.000 0.000 0.907
Ge5 0.333 0.667 0.156
Ge6 0.333 0.667 0.344
Ge7 0.667 0.333 0.656
Ge8 0.667 0.333 0.844